No. 1
# Li4Cr3Cu3W2O16
Theoretical PXRD pattern, Cu Kα (weighted mean of Kα1 and Kα2). Input: a GGA+U-relaxed structure.
Kinematic intensities with the Lorentz-polarization factor, no thermal factor.

Largest 12 diffraction maxima, by angle, 10 to 90 degrees two-theta:
d_spacing, intensity
4.685, 26
4.586, 69
4.480, 100
3.657, 16
3.584, 17
3.486, 16
2.783, 26
2.714, 22
2.599, 31
2.521, 28
2.491, 45
1.489, 21

Atomic structure:
```
Li4Cr3Cu3W2O16
1.0
5.1866 -2.9431 0.0000
5.1866 2.9431 0.0000
-0.5469 0.0000 9.7724
Li Cr Cu W O
4 3 3 2 16
direct
0.0000 0.0000 0.0000
0.0064 0.0064 0.5060
0.3475 0.3475 0.5778
0.6663 0.6663 0.0808
0.1700 0.6630 0.2752
0.6630 0.1700 0.2752
0.8319 0.8319 0.7736
0.1702 0.1702 0.2772
0.3401 0.8326 0.7774
0.8326 0.3401 0.7774
0.3290 0.3290 0.0045
0.6803 0.6803 0.5022
0.0022 0.0022 0.1862
0.0022 0.0022 0.6940
0.0376 0.4891 0.1411
0.1506 0.6437 0.9078
0.1626 0.1626 0.9059
0.3353 0.3353 0.3749
0.3458 0.8220 0.4046
0.4810 0.4810 0.1484
0.4891 0.0376 0.1411
0.5350 0.5350 0.6383
0.5473 0.9802 0.6284
0.6437 0.1506 0.9078
0.6691 0.6691 0.8699
0.8220 0.3458 0.4046
0.8328 0.8328 0.3873
0.9802 0.5473 0.6284
```


No. 2
# MgCr4Cu2O8
Theoretical PXRD pattern, Cu Kα (weighted mean of Kα1 and Kα2). Input: a GGA+U-relaxed structure.
Kinematic intensities with the Lorentz-polarization factor, no thermal factor.

Largest 12 diffraction maxima, by angle, 10 to 90 degrees two-theta:
d_spacing, intensity
4.986, 36
3.064, 24
3.031, 41
2.633, 100
2.593, 43
2.573, 84
2.192, 91
1.970, 27
1.672, 24
1.553, 25
1.515, 29
1.247, 25

Atomic structure:
```
MgCr4Cu2O8
1.0
5.2310 -3.0643 0.0000
5.2310 3.0643 0.0000
-3.5898 0.0000 5.1531
Mg Cr Cu O
1 4 2 8
direct
0.0000 0.0000 0.0000
0.0168 0.4801 0.9963
0.5199 0.9832 0.0037
0.5221 0.4779 0.0000
0.5349 0.4652 0.5000
0.2567 0.0122 0.4868
0.9878 0.7433 0.5132
0.2752 0.2327 0.2193
0.2816 0.6892 0.2181
0.2865 0.2537 0.8128
0.3108 0.7184 0.7819
0.7326 0.2386 0.2249
0.7463 0.7135 0.1872
0.7614 0.2674 0.7751
0.7673 0.7248 0.7807
```


No. 3
# Mg14CrCuO16
Theoretical PXRD pattern, Cu Kα (weighted mean of Kα1 and Kα2). Input: a GGA+U-relaxed structure.
Kinematic intensities with the Lorentz-polarization factor, no thermal factor.

Largest 12 diffraction maxima, by angle, 10 to 90 degrees two-theta:
d_spacing, intensity
6.048, 13
4.276, 6
3.476, 7
3.014, 5
2.463, 28
2.138, 100
2.124, 49
1.512, 28
1.507, 56
1.289, 10
1.282, 5
1.232, 25

Atomic structure:
```
Mg14CrCuO16
1.0
8.5526 0.0000 0.0000
0.0000 8.5526 0.0000
0.0000 0.0000 4.2478
Mg Cr Cu O
14 1 1 16
direct
0.0000 0.2470 0.0000
0.0000 0.5000 0.5000
0.0000 0.7530 0.0000
0.2454 0.2454 0.5000
0.2454 0.7546 0.5000
0.2470 0.0000 0.0000
0.2473 0.5000 0.0000
0.5000 0.0000 0.5000
0.5000 0.2473 0.0000
0.5000 0.7527 0.0000
0.7530 0.0000 0.0000
0.7527 0.5000 0.0000
0.7546 0.2454 0.5000
0.7546 0.7546 0.5000
0.5000 0.5000 0.5000
0.0000 0.0000 0.5000
0.0000 0.0000 0.0000
0.0000 0.2633 0.5000
0.0000 0.5000 0.0000
0.0000 0.7367 0.5000
0.2505 0.2505 0.0000
0.2505 0.7495 0.0000
0.2569 0.5000 0.5000
0.2633 0.0000 0.5000
0.5000 0.0000 0.0000
0.5000 0.2569 0.5000
0.5000 0.5000 0.0000
0.5000 0.7431 0.5000
0.7367 0.0000 0.5000
0.7431 0.5000 0.5000
0.7495 0.2505 0.0000
0.7495 0.7495 0.0000
```


No. 4
# MgCr4Cu3O12
Theoretical PXRD pattern, Cu Kα (weighted mean of Kα1 and Kα2). Input: a GGA+U-relaxed structure.
Kinematic intensities with the Lorentz-polarization factor, no thermal factor.

Largest 12 diffraction maxima, by angle, 10 to 90 degrees two-theta:
d_spacing, intensity
5.192, 8
2.998, 9
2.596, 100
2.322, 7
1.963, 3
1.836, 26
1.501, 12
1.498, 37
1.299, 6
1.297, 6
1.162, 8
1.160, 8

Atomic structure:
```
MgCr4Cu3O12
1.0
5.1876 2.9951 2.1235
-5.1876 2.9951 2.1235
0.0000 -5.9901 2.1235
Mg Cr Cu O
1 4 3 12
direct
0.0000 0.0000 0.0000
0.0000 0.0000 0.5000
0.0000 0.5000 0.0000
0.5000 0.0000 0.0000
0.5000 0.5000 0.5000
0.0000 0.5000 0.5000
0.5000 0.0000 0.5000
0.5000 0.5000 0.0000
0.1396 0.8319 0.3083
0.1681 0.6917 0.8604
0.1686 0.3080 0.4780
0.3083 0.1396 0.8319
0.3080 0.4780 0.1686
0.4780 0.1686 0.3080
0.5220 0.8314 0.6920
0.6920 0.5220 0.8314
0.6917 0.8604 0.1681
0.8314 0.6920 0.5220
0.8319 0.3083 0.1396
0.8604 0.1681 0.6917
```


No. 5
# MgCr4Cu2O8
Theoretical PXRD pattern, Cu Kα (weighted mean of Kα1 and Kα2). Input: a GGA+U-relaxed structure.
Kinematic intensities with the Lorentz-polarization factor, no thermal factor.

Largest 12 diffraction maxima, by angle, 10 to 90 degrees two-theta:
d_spacing, intensity
5.281, 34
3.337, 64
3.186, 100
2.827, 69
2.815, 68
2.643, 78
1.814, 46
1.805, 32
1.672, 25
1.668, 42
1.595, 39
1.591, 39

Atomic structure:
```
MgCr4Cu2O8
1.0
0.0000 4.7043 4.7343
4.3189 0.0000 4.7343
4.3189 4.7043 0.0000
Mg Cr Cu O
1 4 2 8
direct
0.0000 0.0000 0.0000
0.4214 0.8699 0.8679
0.8408 0.8679 0.8699
0.8679 0.8408 0.4214
0.8699 0.4214 0.8408
0.2500 0.2500 0.2500
0.5000 0.5000 0.5000
0.0715 0.6375 0.6381
0.1101 0.6519 0.1265
0.1116 0.1265 0.6519
0.1265 0.1116 0.1101
0.6375 0.0715 0.6528
0.6381 0.6528 0.0715
0.6519 0.1101 0.1116
0.6528 0.6381 0.6375
```


No. 6
# Mg14CrCuO16
Theoretical PXRD pattern, Cu Kα (weighted mean of Kα1 and Kα2). Input: a GGA+U-relaxed structure.
Kinematic intensities with the Lorentz-polarization factor, no thermal factor.

Largest 12 diffraction maxima, by angle, 10 to 90 degrees two-theta:
d_spacing, intensity
8.495, 14
4.251, 6
3.804, 5
3.022, 5
2.463, 28
2.149, 51
2.125, 100
1.511, 57
1.503, 28
1.293, 5
1.283, 10
1.232, 26

Atomic structure:
```
Mg14CrCuO16
1.0
4.2542 0.0000 0.0000
0.0000 8.4954 0.0000
0.0000 0.0000 8.5954
Mg Cr Cu O
14 1 1 16
direct
0.0000 0.0000 0.0000
0.0000 0.0000 0.5000
0.0000 0.2513 0.2461
0.0000 0.2513 0.7539
0.0000 0.7487 0.2461
0.0000 0.7487 0.7539
0.5000 0.0000 0.2490
0.5000 0.0000 0.7510
0.5000 0.2493 0.5000
0.5000 0.2523 0.0000
0.5000 0.5000 0.2450
0.5000 0.5000 0.7550
0.5000 0.7477 0.0000
0.5000 0.7507 0.5000
0.0000 0.5000 0.5000
0.0000 0.5000 0.0000
0.0000 0.0000 0.2533
0.0000 0.0000 0.7467
0.0000 0.2421 0.0000
0.0000 0.2530 0.5000
0.0000 0.5000 0.2653
0.0000 0.5000 0.7347
0.0000 0.7470 0.5000
0.0000 0.7579 0.0000
0.5000 0.0000 0.0000
0.5000 0.0000 0.5000
0.5000 0.2511 0.2505
0.5000 0.2511 0.7495
0.5000 0.5000 0.0000
0.5000 0.5000 0.5000
0.5000 0.7489 0.2505
0.5000 0.7489 0.7495
```


No. 7
# MgCr3CuO8
Theoretical PXRD pattern, Cu Kα (weighted mean of Kα1 and Kα2). Input: a GGA+U-relaxed structure.
Kinematic intensities with the Lorentz-polarization factor, no thermal factor.

Largest 12 diffraction maxima, by angle, 10 to 90 degrees two-theta:
d_spacing, intensity
4.723, 33
4.240, 24
3.836, 58
3.480, 27
2.843, 89
2.674, 87
2.627, 98
2.531, 100
1.918, 30
1.601, 25
1.519, 27
1.484, 35

Atomic structure:
```
MgCr3CuO8
1.0
4.2426 -2.8429 0.0000
4.2426 2.8429 0.0000
-0.2211 0.0000 6.4032
Mg Cr Cu O
1 3 1 8
direct
0.0000 0.0000 0.0000
0.0227 0.0227 0.4994
0.3267 0.3267 0.9693
0.6635 0.6635 0.7322
0.6675 0.6675 0.2498
0.3969 0.8790 0.5079
0.4197 0.9416 0.9682
0.4275 0.4275 0.7506
0.4386 0.4386 0.1887
0.8790 0.3969 0.5079
0.8953 0.8953 0.2703
0.8947 0.8947 0.7232
0.9416 0.4197 0.9682
```


No. 8
# MgCr2Cu2W4O16
Theoretical PXRD pattern, Cu Kα (weighted mean of Kα1 and Kα2). Input: a GGA+U-relaxed structure.
Kinematic intensities with the Lorentz-polarization factor, no thermal factor.

Largest 12 diffraction maxima, by angle, 10 to 90 degrees two-theta:
d_spacing, intensity
4.857, 50
3.820, 65
3.713, 74
3.032, 100
2.974, 93
2.552, 39
2.508, 57
2.217, 21
1.785, 48
1.756, 28
1.734, 46
1.465, 21

Atomic structure:
```
MgCr2Cu2W4O16
1.0
4.8589 -5.7597 0.0000
4.8589 5.7597 0.0000
-0.1360 0.0000 5.1034
Mg Cr Cu W O
1 2 2 4 16
direct
0.0000 0.0000 0.0000
0.2651 0.7349 0.0000
0.6306 0.3694 0.5000
0.1301 0.8699 0.5000
0.7738 0.2262 0.0000
0.1224 0.3891 0.4934
0.3117 0.2429 0.9978
0.6109 0.8776 0.5066
0.7571 0.6883 0.0022
0.0154 0.7486 0.1455
0.0533 0.2459 0.8053
0.1448 0.1517 0.2907
0.1499 0.6109 0.6674
0.2514 0.9846 0.8545
0.2532 0.4804 0.1672
0.3781 0.3582 0.6453
0.3891 0.8501 0.3326
0.5196 0.7468 0.8328
0.5316 0.2557 0.1640
0.6327 0.1141 0.6324
0.6418 0.6219 0.3547
0.7443 0.4684 0.8360
0.7541 0.9467 0.1947
0.8483 0.8552 0.7093
0.8859 0.3673 0.3676
```


No. 9
# MgCr2Cu2W4O16
Theoretical PXRD pattern, Cu Kα (weighted mean of Kα1 and Kα2). Input: a GGA+U-relaxed structure.
Kinematic intensities with the Lorentz-polarization factor, no thermal factor.

Largest 12 diffraction maxima, by angle, 10 to 90 degrees two-theta:
d_spacing, intensity
4.844, 46
3.820, 58
3.738, 55
3.012, 100
2.987, 91
2.537, 45
2.513, 42
2.422, 19
2.241, 36
1.816, 29
1.755, 41
1.747, 23

Atomic structure:
```
MgCr2Cu2W4O16
1.0
4.8445 -5.8764 0.0000
4.8445 5.8764 0.0000
-0.0558 0.0000 5.0264
Mg Cr Cu W O
1 2 2 4 16
direct
0.0000 0.0000 0.0000
0.1260 0.8740 0.5000
0.7677 0.2323 0.0000
0.2792 0.7208 0.0000
0.6062 0.3938 0.5000
0.1108 0.3903 0.5040
0.3098 0.2387 0.0124
0.6097 0.8892 0.4960
0.7613 0.6902 0.9876
0.0007 0.7620 0.1664
0.0193 0.2471 0.8290
0.1274 0.6210 0.6367
0.1410 0.1287 0.3147
0.2380 0.9993 0.8336
0.2501 0.4633 0.1852
0.3462 0.3618 0.6653
0.3790 0.8726 0.3633
0.5333 0.2471 0.1587
0.5367 0.7499 0.8148
0.6382 0.6538 0.3347
0.6479 0.1094 0.6724
0.7529 0.4667 0.8413
0.7529 0.9807 0.1710
0.8713 0.8590 0.6853
0.8906 0.3521 0.3276
```


Which formula does entry 7 have?
MgCr3CuO8